Entry 1:
This entry pairs a crystal structure of Sc3Mo5 with its theoretical powder X-ray diffraction pattern. Radiation: copper Kα. Structure: a PBE-relaxed structure.

Top 6 peaks for 15° ≤ 2θ ≤ 90°, by angle:
34.3°, I 52.9; 37.7°, I 59.9; 39.1°, I 100.0; 39.6°, I 38.2; 41.3°, I 43.1; 41.8°, I 38.9

Structural model:
```
Sc3Mo5
1.0
2.685 -7.266 0.000
2.685 7.266 0.000
-2.677 0.000 7.514
Sc Mo
6 10
Direct
0.000 0.000 0.000 Sc
0.368 0.632 0.000 Sc
0.461 0.539 0.500 Sc
0.499 0.130 0.629 Sc
0.870 0.501 0.371 Sc
0.961 0.039 0.500 Sc
0.122 0.540 0.663 Mo
0.255 0.015 0.270 Mo
0.454 0.055 0.000 Mo
0.457 0.384 0.840 Mo
0.460 0.878 0.337 Mo
0.616 0.543 0.160 Mo
0.743 0.054 0.797 Mo
0.945 0.546 0.000 Mo
0.946 0.257 0.203 Mo
0.985 0.745 0.730 Mo
```

=====

Entry 2:
This entry pairs a crystal structure of Pm3Te4Pd3 with its theoretical powder X-ray diffraction pattern. Radiation: copper Kα. Structure: a PBE-relaxed structure.

Top 6 peaks for 15° ≤ 2θ ≤ 90°, by angle:
28.3°, I 27.6; 33.7°, I 100.0; 40.5°, I 38.0; 44.5°, I 15.6; 58.6°, I 12.4; 69.3°, I 11.9

Structural model:
```
Pm3Te4Pd3
1.0
-4.982 4.982 4.982
4.982 -4.982 4.982
4.982 4.982 -4.982
Pm Te Pd
6 8 6
Direct
0.125 0.750 0.875 Pm
0.250 0.625 0.375 Pm
0.375 0.250 0.625 Pm
0.625 0.375 0.250 Pm
0.750 0.875 0.125 Pm
0.875 0.125 0.750 Pm
0.000 0.334 0.500 Te
0.000 0.834 0.500 Te
0.166 0.166 0.166 Te
0.334 0.500 0.000 Te
0.500 0.000 0.334 Te
0.500 0.000 0.834 Te
0.666 0.666 0.666 Te
0.834 0.500 0.000 Te
0.125 0.875 0.250 Pd
0.250 0.125 0.875 Pd
0.375 0.625 0.750 Pd
0.625 0.750 0.375 Pd
0.750 0.375 0.625 Pd
0.875 0.250 0.125 Pd
```

=====

Entry 3:
This entry pairs a crystal structure of Tm4Ga12Mo with its theoretical powder X-ray diffraction pattern. Radiation: copper Kα. Structure: a PBE-relaxed structure.

Top 6 peaks for 15° ≤ 2θ ≤ 90°, by angle:
29.3°, I 36.1; 36.1°, I 100.0; 42.0°, I 62.9; 60.9°, I 37.1; 72.9°, I 30.6; 76.7°, I 11.2

Structural model:
```
Tm4Ga12Mo
1.0
-4.305 4.305 4.305
4.305 -4.305 4.305
4.305 4.305 -4.305
Tm Ga Mo
4 12 1
Direct
0.000 0.000 0.500 Tm
0.000 0.500 0.000 Tm
0.500 0.000 0.000 Tm
0.500 0.500 0.500 Tm
0.000 0.294 0.294 Ga
0.000 0.706 0.706 Ga
0.250 0.500 0.750 Ga
0.250 0.750 0.500 Ga
0.294 0.000 0.294 Ga
0.294 0.294 0.000 Ga
0.500 0.250 0.750 Ga
0.500 0.750 0.250 Ga
0.706 0.000 0.706 Ga
0.706 0.706 0.000 Ga
0.750 0.250 0.500 Ga
0.750 0.500 0.250 Ga
0.000 0.000 0.000 Mo
```